# 1
# Mg2CdSi2
Simulated powder X-ray diffraction pattern, Cu Kα. Input: DFT lattice parameters and positions (PBE).
Intensities are scaled so that the largest is 100.

Largest 10 diffraction maxima, in order of rising 2θ, 10° ≤ 2θ ≤ 90°:
two_theta, I/Imax
16.28, 25
21.80, 40
28.71, 33
31.97, 65
33.18, 100
41.05, 42
46.53, 34
52.95, 29
63.76, 25
69.80, 21

Structural model:
abc: 4.3977 4.3977 10.8894
angles: 90.00 90.00 90.00
Atoms (fractional coordinates):
Mg1 0.0000 0.5000 0.2500
Mg2 0.0000 0.5000 0.7500
Mg3 0.5000 0.0000 0.2500
Mg4 0.5000 0.0000 0.7500
Cd1 0.0000 0.0000 0.0000
Cd2 0.5000 0.5000 0.5000
Si1 0.0000 0.0000 0.3946
Si2 0.0000 0.0000 0.6054
Si3 0.5000 0.5000 0.1054
Si4 0.5000 0.5000 0.8946

***

# 2
# Sm2Mg3Cd5
Simulated powder X-ray diffraction pattern, Cu Kα. Input: DFT lattice parameters and positions (PBE).
Intensities are scaled so that the largest is 100.

Largest 10 diffraction maxima, in order of rising 2θ, 10° ≤ 2θ ≤ 90°:
two_theta, I/Imax
21.17, 11
22.35, 14
28.34, 14
29.25, 38
31.80, 100
40.56, 49
41.19, 29
58.60, 11
68.24, 11
82.49, 11

Structural model:
abc: 9.4349 9.4349 9.4349
angles: 96.56 96.26 140.97
Atoms (fractional coordinates):
Sm1 0.2441 0.1245 0.3686
Sm2 0.2559 0.6245 0.8804
Sm3 0.7441 0.3755 0.1196
Sm4 0.7559 0.8755 0.6314
Mg1 0.1359 0.8735 0.0093
Mg2 0.2500 0.7500 0.5000
Mg3 0.3641 0.3735 0.7376
Mg4 0.6359 0.6265 0.2624
Mg5 0.7500 0.2500 0.5000
Mg6 0.8641 0.1265 0.9907
Cd1 0.1506 0.3779 0.5285
Cd2 0.2500 0.2500 0.0000
Cd3 0.2500 0.5065 0.2565
Cd4 0.2500 0.9935 0.7435
Cd5 0.3494 0.8779 0.2272
Cd6 0.6506 0.1221 0.7728
Cd7 0.7500 0.0065 0.2565
Cd8 0.7500 0.4935 0.7435
Cd9 0.7500 0.7500 0.0000
Cd10 0.8494 0.6221 0.4715

***

# 3
# Sm2MgCd2
Simulated powder X-ray diffraction pattern, Cu Kα. Input: DFT lattice parameters and positions (PBE).
Intensities are scaled so that the largest is 100.

Largest 10 diffraction maxima, in order of rising 2θ, 10° ≤ 2θ ≤ 90°:
two_theta, I/Imax
25.60, 32
31.28, 100
31.82, 79
34.78, 41
35.64, 47
35.79, 30
44.73, 23
45.92, 24
55.94, 31
58.03, 31

Structural model:
abc: 4.0522 6.7909 10.0348
angles: 90.00 90.00 90.00
Atoms (fractional coordinates):
Sm1 0.0000 0.0000 0.2190
Sm2 0.0000 0.0000 0.7810
Sm3 0.5000 0.5000 0.2810
Sm4 0.5000 0.5000 0.7190
Mg1 0.0000 0.5000 0.0000
Mg2 0.5000 0.0000 0.5000
Cd1 0.0000 0.2866 0.5000
Cd2 0.0000 0.7134 0.5000
Cd3 0.5000 0.2134 0.0000
Cd4 0.5000 0.7866 0.0000

***

# 4
# Sm3Mg3Cd8
Simulated powder X-ray diffraction pattern, Cu Kα. Input: DFT lattice parameters and positions (PBE).
Intensities are scaled so that the largest is 100.

Largest 10 diffraction maxima, in order of rising 2θ, 10° ≤ 2θ ≤ 90°:
two_theta, I/Imax
12.45, 37
31.06, 59
31.96, 88
32.40, 68
32.91, 100
36.62, 72
41.65, 26
48.76, 33
50.32, 30
62.28, 33

Structural model:
abc: 8.9816 8.9816 8.9816
angles: 148.29 113.79 75.28
Atoms (fractional coordinates):
Sm1 0.0000 0.0000 0.0000
Sm2 0.2895 0.2895 0.0000
Sm3 0.7105 0.7105 0.0000
Mg1 0.3228 0.5000 0.8228
Mg2 0.5000 0.0000 0.5000
Mg3 0.6772 0.5000 0.1772
Cd1 0.0166 0.6570 0.3596
Cd2 0.1475 0.8616 0.2860
Cd3 0.2974 0.6570 0.6404
Cd4 0.4244 0.1384 0.2860
Cd5 0.5756 0.8616 0.7140
Cd6 0.7026 0.3430 0.3596
Cd7 0.8525 0.1384 0.7140
Cd8 0.9834 0.3430 0.6404